This entry pairs a crystal structure of CdSiRh2W with its simulated PXRD pattern. Radiation: Cu Kα, 1.54184 Å. Structure: DFT lattice parameters and positions (GGA-PBE).
No peak broadening, texture or thermal motion is included.

Atomic structure:
Cell lengths 4.414, 4.414, 4.588 Å; angles 90.00, 90.00, 90.00 degrees
Space group P4/mmm (No. 123)
Inequivalent atoms, fractional coordinates:
Cd 0.000 0.000 0.000 [1 per cell]
Si 0.500 0.500 0.500 [1 per cell]
Rh 0.000 0.500 0.500 [2 per cell]
W 0.500 0.500 0.000 [1 per cell]

Main lines, most intense first (2θ from 10° to 90°):
(hkl), 2θ/deg, intensity
1 1 1, 34.76, 100
2 0 0, 40.89, 40
2 0 2, 57.99, 28
3 1 1, 70.52, 25
0 0 2, 39.28, 22
2 2 2, 73.37, 14
1 1 3, 68.30, 14
2 2 0, 59.20, 13
1 0 0, 20.12, 8
1 1 0, 28.60, 5
4 0 0, 88.62, 4
0 0 4, 84.47, 2